Record 1
Diffraction record for La3FeWS3O6. The powder diffraction line list is computed, not measured: it uses a structure optimized by DFT (GGA+U) and Cu Kα.
Neutral-atom scattering factors, no anomalous dispersion.

Main lines, in order of rising 2θ (10° ≤ 2θ ≤ 80°):
24.5°, 3.632 Å, I = 53; 26.8°, 3.325 Å, I = 55; 28.6°, 3.120 Å, I = 30; 31.9°, 2.805 Å, I = 23; 32.5°, 2.752 Å, I = 24; 32.8°, 2.727 Å, I = 100; 43.4°, 2.086 Å, I = 39; 50.7°, 1.801 Å, I = 22; 50.9°, 1.794 Å, I = 30; 57.5°, 1.604 Å, I = 21

Atomic structure:
Cell lengths 9.532, 9.532, 5.609 Å; angles 90.00, 90.00, 120.00 degrees
Fractional coordinates of all 28 atoms:
La  0.089  0.408  0.250
La  0.319  0.911  0.250
La  0.408  0.319  0.750
La  0.592  0.681  0.250
La  0.681  0.089  0.750
La  0.911  0.592  0.750
Fe  0.000  0.000  0.000
Fe  0.000  0.000  0.500
W  0.333  0.667  0.750
W  0.667  0.333  0.250
S  0.046  0.229  0.750
S  0.183  0.954  0.750
S  0.229  0.183  0.250
S  0.771  0.817  0.750
S  0.817  0.046  0.250
S  0.954  0.771  0.250
O  0.161  0.634  0.524
O  0.161  0.634  0.976
O  0.366  0.527  0.524
O  0.366  0.527  0.976
O  0.473  0.839  0.524
O  0.473  0.839  0.976
O  0.527  0.161  0.024
O  0.527  0.161  0.476
O  0.634  0.473  0.024
O  0.634  0.473  0.476
O  0.839  0.366  0.024
O  0.839  0.366  0.476

---

Record 2
Diffraction record for LaZnFeSbO6. The powder diffraction line list is computed, not measured: it uses a structure optimized by DFT (GGA+U) and Cu Kα.
Neutral-atom scattering factors, no anomalous dispersion.

Main lines, in order of rising 2θ (10° ≤ 2θ ≤ 80°):
19.1°, 4.654 Å, I = 21; 31.5°, 2.844 Å, I = 43; 31.6°, 2.827 Å, I = 100; 31.9°, 2.809 Å, I = 95; 33.0°, 2.712 Å, I = 37; 44.8°, 2.024 Å, I = 25; 46.3°, 1.963 Å, I = 42; 55.8°, 1.649 Å, I = 23; 58.0°, 1.590 Å, I = 22; 58.4°, 1.580 Å, I = 21

Atomic structure:
Cell lengths 5.424, 5.688, 9.703 Å; angles 90.00, 123.46, 90.00 degrees
Fractional coordinates of all 20 atoms:
La  0.000  0.204  0.000
La  0.000  0.796  0.500
Zn  0.543  0.287  0.499
Zn  0.543  0.713  0.999
Fe  0.762  0.252  0.246
Fe  0.762  0.748  0.746
Sb  0.267  0.260  0.748
Sb  0.267  0.740  0.248
O  0.185  0.219  0.517
O  0.185  0.781  0.017
O  0.399  0.301  0.985
O  0.399  0.699  0.485
O  0.514  0.043  0.315
O  0.514  0.957  0.815
O  0.609  0.472  0.817
O  0.609  0.528  0.317
O  0.901  0.068  0.684
O  0.901  0.932  0.184
O  0.987  0.472  0.181
O  0.987  0.528  0.681

---

Record 3
Diffraction record for La2Fe2Se2O3. The powder diffraction line list is computed, not measured: it uses a structure optimized by DFT (GGA+U) and Cu Kα.
Neutral-atom scattering factors, no anomalous dispersion.

Main lines, in order of rising 2θ (10° ≤ 2θ ≤ 80°):
25.8°, 3.453 Å, I = 30; 30.7°, 2.914 Å, I = 22; 32.1°, 2.791 Å, I = 100; 36.2°, 2.483 Å, I = 23; 43.9°, 2.061 Å, I = 33; 49.5°, 1.840 Å, I = 18; 55.4°, 1.658 Å, I = 33; 63.9°, 1.457 Å, I = 10; 67.0°, 1.396 Å, I = 10; 73.3°, 1.292 Å, I = 11

Atomic structure:
Cell lengths 9.927, 9.927, 9.927 Å; angles 156.04, 156.04, 34.15 degrees
Fractional coordinates of all 9 atoms:
La  0.186  0.186  0.000
La  0.814  0.814  0.000
Fe  0.000  0.500  0.500
Fe  0.500  0.000  0.500
Se  0.402  0.402  0.000
Se  0.598  0.598  0.000
O  0.000  0.000  0.000
O  0.250  0.750  0.500
O  0.750  0.250  0.500

---

Record 4
Diffraction record for SrLaFeSnO6. The powder diffraction line list is computed, not measured: it uses a structure optimized by DFT (GGA+U) and Cu Kα.
Neutral-atom scattering factors, no anomalous dispersion.

Main lines, in order of rising 2θ (10° ≤ 2θ ≤ 80°):
31.1°, 2.872 Å, I = 24; 31.3°, 2.855 Å, I = 100; 31.4°, 2.845 Å, I = 24; 44.8°, 2.021 Å, I = 27; 45.0°, 2.016 Å, I = 15; 55.5°, 1.655 Å, I = 17; 55.7°, 1.650 Å, I = 11; 55.8°, 1.646 Å, I = 17; 56.0°, 1.643 Å, I = 17; 74.4°, 1.275 Å, I = 12

Atomic structure:
Cell lengths 5.690, 5.743, 9.856 Å; angles 90.00, 125.10, 90.00 degrees
Fractional coordinates of all 20 atoms:
Sr  0.000  0.222  0.000
Sr  0.000  0.778  0.500
La  0.482  0.292  0.499
La  0.482  0.708  0.999
Fe  0.244  0.248  0.750
Fe  0.244  0.752  0.250
Sn  0.743  0.246  0.250
Sn  0.743  0.754  0.750
O  0.009  0.470  0.790
O  0.009  0.530  0.290
O  0.084  0.039  0.295
O  0.084  0.961  0.795
O  0.422  0.474  0.209
O  0.422  0.526  0.709
O  0.488  0.045  0.704
O  0.488  0.955  0.204
O  0.561  0.275  0.996
O  0.561  0.725  0.496
O  0.906  0.234  0.502
O  0.906  0.766  0.002

---

Record 5
Diffraction record for Sr3LaTa2Fe2O12. The powder diffraction line list is computed, not measured: it uses a structure optimized by DFT (GGA+U) and Cu Kα.
Neutral-atom scattering factors, no anomalous dispersion.

Main lines, in order of rising 2θ (10° ≤ 2θ ≤ 80°):
19.1°, 4.655 Å, I = 43; 31.3°, 2.856 Å, I = 100; 31.4°, 2.847 Å, I = 99; 37.0°, 2.431 Å, I = 12; 44.8°, 2.022 Å, I = 20; 45.0°, 2.013 Å, I = 37; 55.8°, 1.648 Å, I = 27; 55.9°, 1.645 Å, I = 29; 56.0°, 1.642 Å, I = 19; 74.5°, 1.273 Å, I = 12

Atomic structure:
Cell lengths 5.695, 9.885, 9.898 Å; angles 70.27, 89.80, 89.75 degrees
Fractional coordinates of all 40 atoms:
Sr  0.000  0.000  0.000
Sr  0.000  0.500  0.500
Sr  0.050  0.252  0.245
Sr  0.050  0.752  0.745
Sr  0.549  0.998  0.498
Sr  0.550  0.498  0.999
La  0.483  0.257  0.749
La  0.483  0.757  0.249
Ta  0.022  0.123  0.623
Ta  0.022  0.623  0.123
Ta  0.528  0.128  0.124
Ta  0.528  0.628  0.623
Fe  0.023  0.375  0.873
Fe  0.023  0.875  0.373
Fe  0.524  0.377  0.373
Fe  0.524  0.877  0.873
O  0.010  0.038  0.471
O  0.010  0.538  0.972
O  0.051  0.215  0.773
O  0.051  0.715  0.273
O  0.251  0.004  0.209
O  0.252  0.776  0.005
O  0.253  0.276  0.505
O  0.253  0.505  0.708
O  0.301  0.499  0.217
O  0.301  0.999  0.717
O  0.326  0.280  0.995
O  0.327  0.780  0.495
O  0.520  0.220  0.275
O  0.521  0.720  0.775
O  0.531  0.038  0.961
O  0.532  0.538  0.461
O  0.723  0.961  0.243
O  0.724  0.460  0.743
O  0.745  0.254  0.536
O  0.745  0.754  0.036
O  0.805  0.474  0.247
O  0.805  0.974  0.747
O  0.812  0.235  0.038
O  0.813  0.736  0.538

---

Record 6
Diffraction record for SrLaVFeO6. The powder diffraction line list is computed, not measured: it uses a structure optimized by DFT (GGA+U) and Cu Kα.
Neutral-atom scattering factors, no anomalous dispersion.

Main lines, in order of rising 2θ (10° ≤ 2θ ≤ 80°):
32.0°, 2.801 Å, I = 51; 32.3°, 2.773 Å, I = 100; 39.7°, 2.273 Å, I = 21; 45.8°, 1.981 Å, I = 37; 46.8°, 1.942 Å, I = 17; 57.1°, 1.612 Å, I = 29; 57.7°, 1.597 Å, I = 14; 66.8°, 1.400 Å, I = 11; 67.5°, 1.388 Å, I = 10; 67.6°, 1.385 Å, I = 10

Atomic structure:
Cell lengths 5.541, 5.541, 9.591 Å; angles 105.81, 105.81, 60.75 degrees
Fractional coordinates of all 20 atoms:
Sr  0.250  0.750  0.500
Sr  0.750  0.250  0.000
La  0.497  0.999  0.249
La  0.999  0.497  0.749
V  0.375  0.875  0.875
V  0.875  0.375  0.375
Fe  0.125  0.625  0.125
Fe  0.625  0.125  0.625
O  0.001  0.003  0.251
O  0.003  0.001  0.751
O  0.248  0.251  0.500
O  0.251  0.248  0.000
O  0.256  0.757  0.999
O  0.496  0.997  0.753
O  0.501  0.503  0.751
O  0.503  0.501  0.251
O  0.747  0.752  0.000
O  0.752  0.747  0.500
O  0.757  0.256  0.499
O  0.997  0.496  0.253